For LiLu2Ru, a cell relaxed with PBE gives the simulated powder X-ray diffraction pattern in this record (a wavelength of 1.5418 Å).
Kinematic intensities with the Lorentz-polarization factor, no thermal factor.

Most intense lines, 10° ≤ 2θ ≤ 90°, by intensity:
| h k l | 2theta | Rel. int. |
| --- | --- | --- |
| 2 2 0 | 37.4 | 100 |
| 4 2 2 | 67.5 | 36 |
| 2 0 0 | 26.2 | 34 |
| 4 0 0 | 53.9 | 17 |
| 4 2 0 | 60.9 | 14 |
| 1 1 1 | 22.6 | 12 |
| 4 4 0 | 79.8 | 11 |
| 2 2 2 | 46.2 | 10 |
| 6 0 0 | 85.7 | 7 |
| 3 1 1 | 44.2 | 6 |
| 3 3 1 | 59.2 | 2 |
| 5 3 1 | 84.2 | 2 |

Atomic structure:
Cell lengths 6.8004, 6.8004, 6.8004 Å; angles 90.00, 90.00, 90.00 degrees
Atoms (fractional coordinates):
Li 0.0000 0.0000 0.0000
Li 0.0000 0.5000 0.5000
Li 0.5000 0.0000 0.5000
Li 0.5000 0.5000 0.0000
Lu 0.2500 0.2500 0.2500
Lu 0.2500 0.2500 0.7500
Lu 0.2500 0.7500 0.2500
Lu 0.2500 0.7500 0.7500
Lu 0.7500 0.2500 0.2500
Lu 0.7500 0.2500 0.7500
Lu 0.7500 0.7500 0.2500
Lu 0.7500 0.7500 0.7500
Ru 0.0000 0.0000 0.5000
Ru 0.0000 0.5000 0.0000
Ru 0.5000 0.0000 0.0000
Ru 0.5000 0.5000 0.5000